Starting from the PBE geometry in Alexandria, the X-ray powder pattern of ZnGa6Cu was computed for CuKα.
No peak broadening, texture or thermal motion is included.

Crystal structure
```
data_ZnGa6Cu
_chemical_formula_sum 'Zn1 Ga6 Cu1'
_symmetry_space_group_name_H-M 'P 1'
_symmetry_Int_Tables_number 1
_cell_length_a 5.907
_cell_length_b 5.907
_cell_length_c 5.302
_cell_angle_alpha 103.26
_cell_angle_beta 103.26
_cell_angle_gamma 118.04
loop_
_symmetry_equiv_pos_as_xyz
'x,y,z'
loop_
_atom_site_label
_atom_site_fract_x
_atom_site_fract_y
_atom_site_fract_z
Zn1 0.000 0.000 0.000
Ga1 0.196 0.742 0.239
Ga2 0.258 0.804 0.761
Ga3 0.463 0.463 0.731
Ga4 0.537 0.537 0.269
Ga5 0.742 0.196 0.239
Ga6 0.804 0.258 0.761
Cu1 0.000 0.000 0.500
```

Largest 6 diffraction maxima, in order of rising 2θ, 15° ≤ 2θ ≤ 90°:
| 2theta | Rel. int. |
| --- | --- |
| 32.91 | 100 |
| 34.99 | 34 |
| 35.45 | 79 |
| 42.05 | 26 |
| 43.40 | 52 |
| 49.13 | 65 |



Starting from the PBE geometry in Alexandria, the X-ray powder pattern of Zn3Ga2Cu8 was computed for CuKα.
No peak broadening, texture or thermal motion is included.

Crystal structure
```
data_Zn3Ga2Cu8
_chemical_formula_sum 'Zn3 Ga2 Cu8'
_symmetry_space_group_name_H-M 'P 1'
_symmetry_Int_Tables_number 1
_cell_length_a 8.458
_cell_length_b 2.631
_cell_length_c 8.846
_cell_angle_alpha 90.00
_cell_angle_beta 118.40
_cell_angle_gamma 90.00
loop_
_symmetry_equiv_pos_as_xyz
'x,y,z'
loop_
_atom_site_label
_atom_site_fract_x
_atom_site_fract_y
_atom_site_fract_z
Zn1 0.000 0.000 0.000
Zn2 0.299 0.500 0.229
Zn3 0.701 0.500 0.771
Ga1 0.173 0.000 0.633
Ga2 0.827 0.000 0.367
Cu1 0.088 0.000 0.313
Cu2 0.225 0.500 0.904
Cu3 0.375 0.500 0.545
Cu4 0.496 0.000 0.859
Cu5 0.504 0.000 0.141
Cu6 0.625 0.500 0.455
Cu7 0.775 0.500 0.096
Cu8 0.912 0.000 0.687
```

Largest 6 diffraction maxima, in order of rising 2θ, 15° ≤ 2θ ≤ 90°:
| 2theta | Rel. int. |
| --- | --- |
| 36.22 | 36 |
| 40.37 | 33 |
| 42.01 | 100 |
| 43.36 | 63 |
| 44.36 | 55 |
| 46.47 | 34 |



Starting from the PBE geometry in Alexandria, the X-ray powder pattern of ZnGa2Cu4 was computed for CuKα.
No peak broadening, texture or thermal motion is included.

Crystal structure
```
data_ZnGa2Cu4
_chemical_formula_sum 'Zn2 Ga4 Cu8'
_symmetry_space_group_name_H-M 'P 1'
_symmetry_Int_Tables_number 1
_cell_length_a 4.811
_cell_length_b 6.368
_cell_length_c 6.637
_cell_angle_alpha 93.97
_cell_angle_beta 103.52
_cell_angle_gamma 101.56
loop_
_symmetry_equiv_pos_as_xyz
'x,y,z'
loop_
_atom_site_label
_atom_site_fract_x
_atom_site_fract_y
_atom_site_fract_z
Zn1 0.000 0.000 0.000
Zn2 0.448 0.470 0.515
Ga1 0.498 0.161 0.828
Ga2 0.546 0.104 0.300
Ga3 0.737 0.718 0.253
Ga4 0.999 0.314 0.702
Cu1 0.056 0.690 0.589
Cu2 0.106 0.066 0.445
Cu3 0.240 0.736 0.257
Cu4 0.358 0.394 0.076
Cu5 0.408 0.773 0.923
Cu6 0.640 0.879 0.621
Cu7 0.832 0.585 0.896
Cu8 0.924 0.364 0.221
```

Largest 6 diffraction maxima, in order of rising 2θ, 15° ≤ 2θ ≤ 90°:
| 2theta | Rel. int. |
| --- | --- |
| 38.01 | 49 |
| 42.62 | 34 |
| 43.09 | 100 |
| 43.90 | 64 |
| 44.41 | 18 |
| 45.35 | 24 |



Starting from the PBE geometry in Alexandria, the X-ray powder pattern of Zn4GaCu was computed for CuKα.
No peak broadening, texture or thermal motion is included.

Crystal structure
```
data_Zn4GaCu
_chemical_formula_sum 'Zn8 Ga2 Cu2'
_symmetry_space_group_name_H-M 'P 1'
_symmetry_Int_Tables_number 1
_cell_length_a 6.554
_cell_length_b 6.499
_cell_length_c 6.310
_cell_angle_alpha 61.53
_cell_angle_beta 60.65
_cell_angle_gamma 57.81
loop_
_symmetry_equiv_pos_as_xyz
'x,y,z'
loop_
_atom_site_label
_atom_site_fract_x
_atom_site_fract_y
_atom_site_fract_z
Zn1 0.005 0.712 0.288
Zn2 0.210 0.511 0.790
Zn3 0.288 0.995 0.005
Zn4 0.489 0.790 0.511
Zn5 0.511 0.210 0.489
Zn6 0.712 0.005 0.995
Zn7 0.790 0.489 0.210
Zn8 0.995 0.288 0.712
Ga1 0.000 0.000 0.500
Ga2 0.500 0.500 0.000
Cu1 0.250 0.250 0.250
Cu2 0.750 0.750 0.750
```

Largest 6 diffraction maxima, in order of rising 2θ, 15° ≤ 2θ ≤ 90°:
| 2theta | Rel. int. |
| --- | --- |
| 32.89 | 60 |
| 33.34 | 61 |
| 42.69 | 55 |
| 43.02 | 100 |
| 45.20 | 62 |
| 45.73 | 54 |



Starting from the PBE geometry in Alexandria, the X-ray powder pattern of ZnGaCu14 was computed for CuKα.
No peak broadening, texture or thermal motion is included.

Crystal structure
```
data_ZnGaCu14
_chemical_formula_sum 'Zn1 Ga1 Cu14'
_symmetry_space_group_name_H-M 'P 1'
_symmetry_Int_Tables_number 1
_cell_length_a 8.460
_cell_length_b 5.154
_cell_length_c 5.154
_cell_angle_alpha 60.86
_cell_angle_beta 90.00
_cell_angle_gamma 90.00
loop_
_symmetry_equiv_pos_as_xyz
'x,y,z'
loop_
_atom_site_label
_atom_site_fract_x
_atom_site_fract_y
_atom_site_fract_z
Zn1 0.000 0.000 0.000
Ga1 0.000 0.500 0.500
Cu1 0.000 0.500 0.999
Cu2 0.000 0.999 0.500
Cu3 0.254 0.329 0.329
Cu4 0.254 0.330 0.831
Cu5 0.254 0.829 0.829
Cu6 0.254 0.831 0.330
Cu7 0.500 0.161 0.161
Cu8 0.500 0.162 0.661
Cu9 0.500 0.661 0.162
Cu10 0.500 0.661 0.661
Cu11 0.746 0.329 0.329
Cu12 0.746 0.330 0.831
Cu13 0.746 0.829 0.829
Cu14 0.746 0.831 0.330
```

Largest 6 diffraction maxima, in order of rising 2θ, 15° ≤ 2θ ≤ 90°:
| 2theta | Rel. int. |
| --- | --- |
| 41.52 | 42 |
| 42.04 | 23 |
| 42.76 | 52 |
| 45.66 | 100 |
| 46.14 | 43 |
| 88.96 | 22 |



Starting from the PBE geometry in Alexandria, the X-ray powder pattern of ZnGa4Cu15 was computed for CuKα.
No peak broadening, texture or thermal motion is included.

Crystal structure
```
data_ZnGa4Cu15
_chemical_formula_sum 'Zn1 Ga4 Cu15'
_symmetry_space_group_name_H-M 'P 1'
_symmetry_Int_Tables_number 1
_cell_length_a 3.772
_cell_length_b 3.772
_cell_length_c 17.719
_cell_angle_alpha 90.00
_cell_angle_beta 90.00
_cell_angle_gamma 90.00
loop_
_symmetry_equiv_pos_as_xyz
'x,y,z'
loop_
_atom_site_label
_atom_site_fract_x
_atom_site_fract_y
_atom_site_fract_z
Zn1 0.000 0.000 0.000
Ga1 0.000 0.000 0.198
Ga2 0.000 0.000 0.400
Ga3 0.000 0.000 0.600
Ga4 0.000 0.000 0.802
Cu1 0.000 0.500 0.099
Cu2 0.000 0.500 0.299
Cu3 0.000 0.500 0.500
Cu4 0.000 0.500 0.701
Cu5 0.000 0.500 0.901
Cu6 0.500 0.000 0.099
Cu7 0.500 0.000 0.299
Cu8 0.500 0.000 0.500
Cu9 0.500 0.000 0.701
Cu10 0.500 0.000 0.901
Cu11 0.500 0.500 0.000
Cu12 0.500 0.500 0.199
Cu13 0.500 0.500 0.400
Cu14 0.500 0.500 0.600
Cu15 0.500 0.500 0.801
```

Largest 6 diffraction maxima, in order of rising 2θ, 15° ≤ 2θ ≤ 90°:
| 2theta | Rel. int. |
| --- | --- |
| 42.41 | 100 |
| 48.25 | 34 |
| 51.58 | 14 |
| 70.63 | 10 |
| 73.30 | 18 |
| 85.99 | 23 |



Starting from the PBE geometry in Alexandria, the X-ray powder pattern of Zn2GaCu4 was computed for CuKα.
No peak broadening, texture or thermal motion is included.

Crystal structure
```
data_Zn2GaCu4
_chemical_formula_sum 'Zn4 Ga2 Cu8'
_symmetry_space_group_name_H-M 'P 1'
_symmetry_Int_Tables_number 1
_cell_length_a 5.073
_cell_length_b 5.073
_cell_length_c 8.860
_cell_angle_alpha 90.00
_cell_angle_beta 90.00
_cell_angle_gamma 59.17
loop_
_symmetry_equiv_pos_as_xyz
'x,y,z'
loop_
_atom_site_label
_atom_site_fract_x
_atom_site_fract_y
_atom_site_fract_z
Zn1 0.181 0.181 0.000
Zn2 0.319 0.319 0.500
Zn3 0.681 0.681 0.500
Zn4 0.819 0.819 0.000
Ga1 0.000 0.000 0.500
Ga2 0.500 0.500 0.000
Cu1 0.007 0.493 0.750
Cu2 0.012 0.988 0.778
Cu3 0.488 0.512 0.278
Cu4 0.493 0.007 0.250
Cu5 0.507 0.993 0.750
Cu6 0.512 0.488 0.722
Cu7 0.988 0.012 0.222
Cu8 0.993 0.507 0.250
```

Largest 6 diffraction maxima, in order of rising 2θ, 15° ≤ 2θ ≤ 90°:
| 2theta | Rel. int. |
| --- | --- |
| 36.85 | 100 |
| 40.74 | 95 |
| 40.92 | 47 |
| 41.44 | 99 |
| 46.46 | 97 |
| 47.24 | 91 |



Starting from the PBE geometry in Alexandria, the X-ray powder pattern of Zn2Ga8Cu was computed for CuKα.
No peak broadening, texture or thermal motion is included.

Crystal structure
```
data_Zn2Ga8Cu
_chemical_formula_sum 'Zn2 Ga8 Cu1'
_symmetry_space_group_name_H-M 'P 1'
_symmetry_Int_Tables_number 1
_cell_length_a 4.205
_cell_length_b 4.205
_cell_length_c 11.039
_cell_angle_alpha 90.00
_cell_angle_beta 90.00
_cell_angle_gamma 90.00
loop_
_symmetry_equiv_pos_as_xyz
'x,y,z'
loop_
_atom_site_label
_atom_site_fract_x
_atom_site_fract_y
_atom_site_fract_z
Zn1 0.000 0.000 0.176
Zn2 0.000 0.000 0.824
Ga1 0.000 0.500 0.000
Ga2 0.000 0.500 0.366
Ga3 0.000 0.500 0.634
Ga4 0.500 0.000 0.000
Ga5 0.500 0.000 0.366
Ga6 0.500 0.000 0.634
Ga7 0.500 0.500 0.188
Ga8 0.500 0.500 0.812
Cu1 0.000 0.000 0.500
```

Largest 6 diffraction maxima, in order of rising 2θ, 15° ≤ 2θ ≤ 90°:
| 2theta | Rel. int. |
| --- | --- |
| 34.25 | 14 |
| 38.94 | 100 |
| 43.02 | 45 |
| 62.47 | 14 |
| 67.67 | 10 |
| 76.09 | 35 |



Starting from the PBE geometry in Alexandria, the X-ray powder pattern of Zn2Ga3Cu8 was computed for CuKα.
No peak broadening, texture or thermal motion is included.

Crystal structure
```
data_Zn2Ga3Cu8
_chemical_formula_sum 'Zn2 Ga3 Cu8'
_symmetry_space_group_name_H-M 'P 1'
_symmetry_Int_Tables_number 1
_cell_length_a 9.509
_cell_length_b 9.509
_cell_length_c 9.509
_cell_angle_alpha 29.54
_cell_angle_beta 29.54
_cell_angle_gamma 29.54
loop_
_symmetry_equiv_pos_as_xyz
'x,y,z'
loop_
_atom_site_label
_atom_site_fract_x
_atom_site_fract_y
_atom_site_fract_z
Zn1 0.139 0.139 0.139
Zn2 0.861 0.861 0.861
Ga1 0.316 0.316 0.316
Ga2 0.500 0.500 0.500
Ga3 0.684 0.684 0.684
Cu1 0.228 0.228 0.228
Cu2 0.228 0.228 0.728
Cu3 0.228 0.728 0.228
Cu4 0.272 0.772 0.772
Cu5 0.728 0.228 0.228
Cu6 0.772 0.272 0.772
Cu7 0.772 0.772 0.272
Cu8 0.772 0.772 0.772
```

Largest 6 diffraction maxima, in order of rising 2θ, 15° ≤ 2θ ≤ 90°:
| 2theta | Rel. int. |
| --- | --- |
| 37.09 | 35 |
| 42.32 | 100 |
| 43.62 | 57 |
| 45.19 | 24 |
| 46.34 | 25 |
| 70.44 | 35 |



Starting from the PBE geometry in Alexandria, the X-ray powder pattern of Zn4GaCu was computed for CuKα.
No peak broadening, texture or thermal motion is included.

Crystal structure
```
data_Zn4GaCu
_chemical_formula_sum 'Zn8 Ga2 Cu2'
_symmetry_space_group_name_H-M 'P 1'
_symmetry_Int_Tables_number 1
_cell_length_a 7.465
_cell_length_b 4.584
_cell_length_c 5.565
_cell_angle_alpha 90.00
_cell_angle_beta 106.39
_cell_angle_gamma 90.00
loop_
_symmetry_equiv_pos_as_xyz
'x,y,z'
loop_
_atom_site_label
_atom_site_fract_x
_atom_site_fract_y
_atom_site_fract_z
Zn1 0.147 0.088 0.443
Zn2 0.147 0.912 0.943
Zn3 0.311 0.442 0.147
Zn4 0.311 0.558 0.647
Zn5 0.689 0.442 0.353
Zn6 0.689 0.558 0.853
Zn7 0.853 0.088 0.057
Zn8 0.853 0.912 0.557
Ga1 0.500 0.000 0.000
Ga2 0.500 0.000 0.500
Cu1 0.000 0.407 0.750
Cu2 0.000 0.593 0.250
```

Largest 6 diffraction maxima, in order of rising 2θ, 15° ≤ 2θ ≤ 90°:
| 2theta | Rel. int. |
| --- | --- |
| 39.05 | 65 |
| 39.27 | 31 |
| 39.31 | 35 |
| 42.71 | 100 |
| 43.13 | 49 |
| 43.42 | 50 |



Starting from the PBE geometry in Alexandria, the X-ray powder pattern of Zn4GaCu was computed for CuKα.
No peak broadening, texture or thermal motion is included.

Crystal structure
```
data_Zn4GaCu
_chemical_formula_sum 'Zn4 Ga1 Cu1'
_symmetry_space_group_name_H-M 'P 1'
_symmetry_Int_Tables_number 1
_cell_length_a 5.079
_cell_length_b 5.079
_cell_length_c 5.079
_cell_angle_alpha 60.00
_cell_angle_beta 60.00
_cell_angle_gamma 60.00
loop_
_symmetry_equiv_pos_as_xyz
'x,y,z'
loop_
_atom_site_label
_atom_site_fract_x
_atom_site_fract_y
_atom_site_fract_z
Zn1 0.124 0.124 0.124
Zn2 0.124 0.124 0.627
Zn3 0.124 0.627 0.124
Zn4 0.627 0.124 0.124
Ga1 0.500 0.500 0.500
Cu1 0.750 0.750 0.750
```

Largest 6 diffraction maxima, in order of rising 2θ, 15° ≤ 2θ ≤ 90°:
| 2theta | Rel. int. |
| --- | --- |
| 35.34 | 27 |
| 41.70 | 100 |
| 43.65 | 40 |
| 67.79 | 29 |
| 74.76 | 25 |
| 89.46 | 10 |



Starting from the PBE geometry in Alexandria, the X-ray powder pattern of Zn2Ga3Cu8 was computed for CuKα.
No peak broadening, texture or thermal motion is included.

Crystal structure
```
data_Zn2Ga3Cu8
_chemical_formula_sum 'Zn2 Ga3 Cu8'
_symmetry_space_group_name_H-M 'P 1'
_symmetry_Int_Tables_number 1
_cell_length_a 8.527
_cell_length_b 2.654
_cell_length_c 8.857
_cell_angle_alpha 90.00
_cell_angle_beta 118.33
_cell_angle_gamma 90.00
loop_
_symmetry_equiv_pos_as_xyz
'x,y,z'
loop_
_atom_site_label
_atom_site_fract_x
_atom_site_fract_y
_atom_site_fract_z
Zn1 0.162 0.000 0.129
Zn2 0.838 0.000 0.871
Ga1 0.000 0.000 0.500
Ga2 0.320 0.500 0.746
Ga3 0.680 0.500 0.254
Cu1 0.091 0.000 0.811
Cu2 0.226 0.500 0.406
Cu3 0.361 0.500 0.046
Cu4 0.487 0.000 0.355
Cu5 0.513 0.000 0.645
Cu6 0.639 0.500 0.954
Cu7 0.774 0.500 0.594
Cu8 0.909 0.000 0.189
```

Largest 6 diffraction maxima, in order of rising 2θ, 15° ≤ 2θ ≤ 90°:
| 2theta | Rel. int. |
| --- | --- |
| 35.91 | 54 |
| 41.70 | 59 |
| 41.84 | 100 |
| 43.23 | 88 |
| 43.95 | 81 |
| 46.22 | 55 |